# 1
Calculated powder diffraction line list
Compound: Ca2B2O5
Radiation: Cu Kα
Structure: a crystal structure in the Materials Project, relaxed with PBE

Principal peaks in the range 10° ≤ 2θ ≤ 80°, sorted by position:
23.0 deg, I = 17; 26.9 deg, I = 14; 28.4 deg, I = 19; 29.4 deg, I = 54; 31.0 deg, I = 100; 31.7 deg, I = 26; 40.1 deg, I = 21; 43.4 deg, I = 14; 47.3 deg, I = 32; 47.4 deg, I = 24

Structure:
```
Ca2B2O5
1.0
3.595 0.000 0.000
0.000 6.399 0.000
0.000 0.000 19.389
Ca B O
8 8 20
Cartesian
0.729 0.349 1.194 Ca
0.730 1.291 15.320 Ca
1.068 5.107 5.625 Ca
1.068 6.049 10.888 Ca
2.527 1.908 4.070 Ca
2.526 2.850 18.196 Ca
2.866 3.549 8.501 Ca
2.865 4.491 13.764 Ca
0.511 3.180 1.597 B
0.665 1.802 6.657 B
1.132 4.597 16.352 B
1.286 3.218 11.292 B
2.308 0.019 17.792 B
2.463 1.397 12.732 B
2.929 5.001 3.038 B
3.084 6.380 8.098 B
0.013 1.276 7.822 O
0.673 3.318 16.528 O
0.719 2.843 0.291 O
0.734 2.279 2.604 O
0.752 1.105 5.482 O
1.045 5.293 15.176 O
1.063 4.119 12.299 O
1.078 3.556 9.985 O
1.124 3.080 6.833 O
1.785 5.123 17.516 O
1.810 1.924 11.568 O
2.470 6.280 2.861 O
2.516 0.357 19.099 O
2.531 0.920 16.785 O
2.549 2.094 13.908 O
2.843 4.305 4.213 O
2.861 5.479 7.091 O
2.876 6.042 9.404 O
2.922 0.119 12.556 O
3.582 4.475 1.873 O
```



# 2
Calculated powder diffraction line list
Compound: HfTaRu2
Radiation: Cu Kα
Structure: a crystal structure in the Materials Project, relaxed with PBE

Principal peaks in the range 10° ≤ 2θ ≤ 80°, sorted by position:
27.8 deg, I = 9; 39.7 deg, I = 100; 49.1 deg, I = 3; 57.4 deg, I = 17; 64.9 deg, I = 4; 72.0 deg, I = 34

Structure:
```
HfTaRu2
1.0
0.000 3.212 3.212
3.212 0.000 3.212
3.212 3.212 0.000
Hf Ta Ru
1 1 2
Cartesian
0.000 0.000 0.000 Hf
3.212 3.212 3.212 Ta
1.606 1.606 1.606 Ru
4.818 4.818 4.818 Ru
```



# 3
Calculated powder diffraction line list
Compound: SmInO3
Radiation: Cu Kα
Structure: a crystal structure in the Materials Project, relaxed with PBE

Principal peaks in the range 10° ≤ 2θ ≤ 80°, sorted by position:
24.3 deg, I = 11; 30.0 deg, I = 20; 30.8 deg, I = 100; 31.8 deg, I = 22; 44.0 deg, I = 13; 44.3 deg, I = 17; 50.0 deg, I = 10; 53.8 deg, I = 10; 55.3 deg, I = 11; 56.1 deg, I = 24

Structure:
```
SmInO3
1.0
5.953 0.000 0.000
0.000 8.239 0.000
0.000 0.000 5.623
Sm In O
4 4 12
Cartesian
0.384 2.060 0.115 Sm
2.592 6.179 2.926 Sm
3.360 2.060 2.697 Sm
5.568 6.179 5.508 Sm
0.000 0.000 2.811 In
0.000 4.119 2.811 In
2.976 0.000 0.000 In
2.976 4.119 0.000 In
0.371 6.179 2.054 O
1.134 4.683 4.569 O
1.134 7.676 4.569 O
1.842 0.563 1.758 O
1.842 3.556 1.758 O
2.606 2.060 4.866 O
3.347 6.179 0.757 O
4.110 4.683 3.865 O
4.110 7.676 3.865 O
4.819 0.563 1.054 O
4.819 3.556 1.054 O
5.582 2.060 3.569 O
```



# 4
Calculated powder diffraction line list
Compound: Ti4ZnO8
Radiation: Cu Kα
Structure: a crystal structure in the Materials Project, relaxed with PBE

Principal peaks in the range 10° ≤ 2θ ≤ 80°, sorted by position:
12.0 deg, I = 73; 12.2 deg, I = 50; 15.8 deg, I = 100; 28.7 deg, I = 40; 29.0 deg, I = 33; 31.9 deg, I = 56; 35.5 deg, I = 50; 36.5 deg, I = 39; 41.5 deg, I = 36; 49.5 deg, I = 37

Structure:
```
Ti4ZnO8
1.0
7.325 -1.480 0.000
7.325 1.480 0.000
-6.217 0.000 7.381
Ti Zn O
4 1 8
Cartesian
0.000 0.000 0.000 Ti
0.524 0.000 4.693 Ti
5.274 0.000 2.735 Ti
9.784 0.000 2.088 Ti
5.674 0.000 7.356 Zn
-1.284 0.000 1.560 O
1.603 0.000 3.077 O
3.569 0.000 1.040 O
-0.356 0.000 6.597 O
8.437 0.000 0.629 O
6.590 0.000 4.059 O
8.880 0.000 5.509 O
11.441 0.000 3.258 O
```



# 5
Calculated powder diffraction line list
Compound: MgScTl
Radiation: Cu Kα
Structure: a crystal structure in the Materials Project, relaxed with PBE

Principal peaks in the range 10° ≤ 2θ ≤ 80°, sorted by position:
22.3 deg, I = 100; 25.8 deg, I = 53; 36.8 deg, I = 96; 43.4 deg, I = 54; 45.4 deg, I = 16; 53.0 deg, I = 17; 58.1 deg, I = 23; 59.8 deg, I = 22; 66.2 deg, I = 34; 70.8 deg, I = 17

Structure:
```
MgScTl
1.0
0.000 3.458 3.458
3.458 0.000 3.458
3.458 3.458 0.000
Mg Sc Tl
1 1 1
Cartesian
0.000 0.000 0.000 Mg
5.186 5.186 5.186 Sc
3.458 3.458 3.458 Tl
```



# 6
Calculated powder diffraction line list
Compound: Sr2TbZrO6
Radiation: Cu Kα
Structure: a crystal structure in the Materials Project, relaxed with PBE

Principal peaks in the range 10° ≤ 2θ ≤ 80°, sorted by position:
17.8 deg, I = 5; 20.6 deg, I = 10; 29.3 deg, I = 100; 34.5 deg, I = 4; 41.9 deg, I = 33; 47.1 deg, I = 4; 51.9 deg, I = 41; 60.7 deg, I = 21; 68.8 deg, I = 18; 76.5 deg, I = 7

Structure:
```
Sr2TbZrO6
1.0
0.000 4.313 4.313
4.313 0.000 4.313
4.313 4.313 0.000
Sr Tb Zr O
2 1 1 6
Cartesian
2.157 2.157 2.157 Sr
6.470 6.470 6.470 Sr
0.000 0.000 0.000 Tb
4.313 4.313 4.313 Zr
4.313 4.313 2.220 O
4.313 2.220 4.313 O
6.406 4.313 4.313 O
2.220 4.313 4.313 O
4.313 6.406 4.313 O
4.313 4.313 6.406 O
```



# 7
Calculated powder diffraction line list
Compound: Na3YSi6O15
Radiation: Cu Kα
Structure: a crystal structure in the Materials Project, relaxed with PBE

Principal peaks in the range 10° ≤ 2θ ≤ 80°, sorted by position:
16.7 deg, I = 22; 17.6 deg, I = 100; 23.3 deg, I = 14; 25.8 deg, I = 32; 26.7 deg, I = 71; 29.3 deg, I = 65; 29.7 deg, I = 14; 32.7 deg, I = 22; 35.7 deg, I = 39; 48.5 deg, I = 17

Structure:
```
Na3YSi6O15
1.0
9.354 -4.254 0.000
9.354 4.254 0.000
-6.001 0.000 8.763
Na Y Si O
6 2 12 30
Cartesian
4.725 2.132 6.489 Na
7.983 2.132 2.274 Na
4.713 0.000 1.027 Na
7.995 0.000 7.735 Na
4.725 -2.132 6.489 Na
7.983 -2.132 2.274 Na
0.000 0.000 0.000 Y
6.354 0.000 4.381 Y
4.643 2.748 2.768 Si
0.232 0.000 3.829 Si
1.241 1.523 7.741 Si
8.065 2.748 5.995 Si
2.706 0.000 5.539 Si
11.467 1.523 1.022 Si
1.241 -1.523 7.741 Si
10.002 0.000 3.224 Si
4.643 -2.748 2.768 Si
11.467 -1.523 1.022 Si
12.476 0.000 4.933 Si
8.065 -2.748 5.995 Si
3.817 2.941 4.183 O
-0.251 2.010 7.189 O
-0.152 0.000 2.276 O
7.777 2.601 0.019 O
-1.838 0.000 6.436 O
2.256 1.311 6.455 O
5.788 1.633 2.879 O
1.841 0.000 4.143 O
4.931 2.601 8.744 O
8.891 2.941 4.580 O
1.003 0.000 8.412 O
6.920 1.633 5.883 O
4.295 0.000 5.336 O
-0.251 -2.010 7.189 O
10.452 1.311 2.307 O
2.256 -1.311 6.455 O
12.959 2.010 1.574 O
8.413 0.000 3.427 O
5.788 -1.633 2.879 O
11.705 0.000 0.351 O
3.817 -2.941 4.183 O
7.777 -2.601 0.019 O
10.867 0.000 4.619 O
6.920 -1.633 5.883 O
10.452 -1.311 2.307 O
14.546 0.000 2.326 O
4.931 -2.601 8.744 O
12.860 0.000 6.487 O
12.959 -2.010 1.574 O
8.891 -2.941 4.580 O
```



# 8
Calculated powder diffraction line list
Compound: FeBiS2Br
Radiation: Cu Kα
Structure: a crystal structure in the Materials Project, relaxed with PBE

Principal peaks in the range 10° ≤ 2θ ≤ 80°, sorted by position:
25.2 deg, I = 83; 26.8 deg, I = 62; 27.1 deg, I = 35; 32.4 deg, I = 100; 33.1 deg, I = 50; 33.8 deg, I = 55; 34.3 deg, I = 45; 39.8 deg, I = 42; 48.2 deg, I = 40; 52.2 deg, I = 39

Structure:
```
FeBiS2Br
1.0
6.167 -1.863 0.000
6.167 1.863 0.000
-0.349 0.000 8.873
Fe Bi S Br
2 2 4 2
Cartesian
0.000 0.000 0.000 Fe
-0.174 0.000 4.437 Fe
3.236 0.000 6.325 Bi
8.749 0.000 2.548 Bi
0.660 0.000 2.228 S
4.576 0.000 4.048 S
7.409 0.000 4.825 S
11.324 0.000 6.645 S
4.617 0.000 0.435 Br
7.367 0.000 8.438 Br
```